Calculated powder diffractogram
Compound: RbAsHIr
Radiation: a wavelength of 1.5418 Å
Structure: the GGA-PBE geometry in Alexandria

Most intense lines, 2θ from 5° to 70°, by angle:
d = 6.070 Å, I = 100
d = 3.889 Å, I = 34
d = 3.061 Å, I = 47
d = 3.035 Å, I = 65
d = 2.735 Å, I = 43
d = 2.705 Å, I = 44

Structural model:
Cell: 3.111 4.522 6.275 Å, 75.92 89.04 69.89°
Fractional coordinates of all 4 atoms:
Rb 0.000 0.000 0.000
As 0.364 0.248 0.445
H 0.133 0.692 0.674
Ir 0.661 0.647 0.538

Calculated powder diffractogram
Compound: K2CdGeSe4
Radiation: a wavelength of 1.5418 Å
Structure: the GGA-PBE geometry in Alexandria

Most intense lines, 2θ from 5° to 70°, by angle:
d = 5.758 Å, I = 60
d = 3.404 Å, I = 100
d = 3.180 Å, I = 32
d = 2.697 Å, I = 31
d = 2.114 Å, I = 34
d = 1.902 Å, I = 30

Structural model:
Cell: 6.954 6.954 6.954 Å, 113.47 113.47 101.73°
Fractional coordinates of all 8 atoms:
K 0.000 0.000 0.000
K 0.750 0.250 0.500
Cd 0.250 0.750 0.500
Ge 0.500 0.500 0.000
Se 0.198 0.576 0.054
Se 0.424 0.478 0.622
Se 0.522 0.144 0.946
Se 0.856 0.802 0.378

Calculated powder diffractogram
Compound: Pu6Pb2C
Radiation: a wavelength of 1.5418 Å
Structure: the GGA-PBE geometry in Alexandria

Most intense lines, 2θ from 5° to 70°, by angle:
d = 2.807 Å, I = 100
d = 2.431 Å, I = 52
d = 1.719 Å, I = 37
d = 1.468 Å, I = 15
d = 1.465 Å, I = 29
d = 1.404 Å, I = 13

Structural model:
Cell: 6.880 6.880 6.880 Å, 120.09 120.09 89.85°
Fractional coordinates of all 9 atoms:
Pu 0.249 0.249 0.000
Pu 0.249 0.249 0.498
Pu 0.249 0.751 0.000
Pu 0.751 0.249 0.000
Pu 0.751 0.751 0.000
Pu 0.751 0.751 0.502
Pb 0.250 0.750 0.500
Pb 0.750 0.250 0.500
C 0.000 0.000 0.000

Calculated powder diffractogram
Compound: NaCa3P
Radiation: a wavelength of 1.5418 Å
Structure: the GGA-PBE geometry in Alexandria

Most intense lines, 2θ from 5° to 70°, by angle:
d = 3.447 Å, I = 37
d = 3.346 Å, I = 59
d = 3.254 Å, I = 48
d = 2.931 Å, I = 58
d = 2.904 Å, I = 100
d = 2.587 Å, I = 65

Structural model:
Cell: 7.358 7.358 7.992 Å, 63.63 63.54 71.11°
Fractional coordinates of all 10 atoms:
Na 0.025 0.031 0.241
Na 0.975 0.969 0.759
Ca 0.091 0.527 0.240
Ca 0.418 0.425 0.763
Ca 0.479 0.913 0.759
Ca 0.521 0.087 0.241
Ca 0.582 0.575 0.237
Ca 0.909 0.473 0.760
P 0.297 0.296 0.532
P 0.703 0.704 0.468

Calculated powder diffractogram
Compound: ErFe10Mo2N
Radiation: a wavelength of 1.5418 Å
Structure: the GGA-PBE geometry in Alexandria

Most intense lines, 2θ from 5° to 70°, by angle:
d = 2.468 Å, I = 44
d = 2.454 Å, I = 42
d = 2.168 Å, I = 47
d = 2.141 Å, I = 55
d = 2.136 Å, I = 82
d = 2.077 Å, I = 100

Structural model:
Cell: 6.552 6.552 6.552 Å, 137.61 97.90 97.12°
Fractional coordinates of all 14 atoms:
Er 0.000 0.000 0.000
Fe 0.000 0.000 0.500
Fe 0.000 0.500 0.000
Fe 0.220 0.720 0.500
Fe 0.222 0.500 0.722
Fe 0.359 0.359 0.000
Fe 0.500 0.000 0.000
Fe 0.500 0.500 0.500
Fe 0.641 0.641 0.000
Fe 0.778 0.500 0.278
Fe 0.780 0.280 0.500
Mo 0.357 0.000 0.357
Mo 0.643 0.000 0.643
N 0.000 0.500 0.500

Calculated powder diffractogram
Compound: DyMg4Zn
Radiation: a wavelength of 1.5418 Å
Structure: the GGA-PBE geometry in Alexandria

Most intense lines, 2θ from 5° to 70°, by angle:
d = 4.232 Å, I = 84
d = 4.116 Å, I = 100
d = 3.696 Å, I = 63
d = 2.634 Å, I = 56
d = 2.542 Å, I = 91
d = 2.038 Å, I = 66

Structural model:
Cell: 8.775 8.775 5.277 Å, 107.44 107.44 47.62°
Fractional coordinates of all 12 atoms:
Dy 0.204 0.204 0.204
Dy 0.796 0.796 0.796
Mg 0.107 0.657 0.382
Mg 0.187 0.813 0.000
Mg 0.331 0.331 0.831
Mg 0.343 0.893 0.618
Mg 0.657 0.107 0.382
Mg 0.669 0.669 0.169
Mg 0.813 0.187 0.000
Mg 0.893 0.343 0.618
Zn 0.500 0.500 0.267
Zn 0.500 0.500 0.733

Calculated powder diffractogram
Compound: Pm2Nd5Er12
Radiation: a wavelength of 1.5418 Å
Structure: the GGA-PBE geometry in Alexandria

Most intense lines, 2θ from 5° to 70°, by angle:
d = 2.914 Å, I = 100
d = 2.906 Å, I = 33
d = 2.522 Å, I = 67
d = 1.786 Å, I = 24
d = 1.523 Å, I = 19
d = 1.520 Å, I = 29

Structural model:
Cell: 6.176 9.460 10.683 Å, 101.06 95.56 90.06°
Fractional coordinates of all 19 atoms:
Pm 0.081 0.317 0.474
Pm 0.919 0.683 0.526
Nd 0.238 0.947 0.421
Nd 0.341 0.368 0.053
Nd 0.500 0.000 0.000
Nd 0.659 0.632 0.947
Nd 0.762 0.053 0.579
Er 0.026 0.105 0.157
Er 0.132 0.526 0.790
Er 0.183 0.737 0.105
Er 0.288 0.159 0.738
Er 0.396 0.579 0.368
Er 0.445 0.788 0.684
Er 0.555 0.212 0.316
Er 0.604 0.421 0.632
Er 0.712 0.841 0.262
Er 0.817 0.263 0.895
Er 0.868 0.474 0.210
Er 0.974 0.895 0.843

Calculated powder diffractogram
Compound: ThUCu4Si4
Radiation: a wavelength of 1.5418 Å
Structure: the GGA-PBE geometry in Alexandria

Most intense lines, 2θ from 5° to 70°, by angle:
d = 3.746 Å, I = 59
d = 2.563 Å, I = 47
d = 2.480 Å, I = 100
d = 2.022 Å, I = 30
d = 1.784 Å, I = 17
d = 1.588 Å, I = 22

Structural model:
Cell: 4.045 4.045 9.940 Å, 90.00 90.00 90.00°
Fractional coordinates of all 10 atoms:
Th 0.000 0.000 0.000
U 0.500 0.500 0.500
Cu 0.000 0.500 0.252
Cu 0.000 0.500 0.748
Cu 0.500 0.000 0.252
Cu 0.500 0.000 0.748
Si 0.000 0.000 0.383
Si 0.000 0.000 0.617
Si 0.500 0.500 0.122
Si 0.500 0.500 0.878

Calculated powder diffractogram
Compound: CsTl2SbBr8
Radiation: a wavelength of 1.5418 Å
Structure: the GGA-PBE geometry in Alexandria

Most intense lines, 2θ from 5° to 70°, by angle:
d = 5.725 Å, I = 87
d = 4.469 Å, I = 69
d = 4.197 Å, I = 41
d = 2.996 Å, I = 100
d = 2.878 Å, I = 41
d = 2.539 Å, I = 56

Structural model:
Cell: 6.917 7.865 9.782 Å, 91.47 101.00 103.65°
Fractional coordinates of all 12 atoms:
Cs 0.000 0.000 0.000
Tl 0.485 0.436 0.756
Tl 0.515 0.564 0.244
Sb 0.000 0.000 0.500
Br 0.012 0.735 0.321
Br 0.219 0.879 0.705
Br 0.333 0.197 0.431
Br 0.425 0.732 0.961
Br 0.575 0.268 0.039
Br 0.667 0.803 0.569
Br 0.781 0.121 0.295
Br 0.988 0.265 0.679

Calculated powder diffractogram
Compound: Hf2NbHgTe
Radiation: a wavelength of 1.5418 Å
Structure: the GGA-PBE geometry in Alexandria

Most intense lines, 2θ from 5° to 70°, by angle:
d = 2.991 Å, I = 100
d = 2.683 Å, I = 33
d = 2.547 Å, I = 58
d = 1.847 Å, I = 45
d = 1.543 Å, I = 29
d = 1.495 Å, I = 22

Structural model:
Cell: 5.094 5.094 5.366 Å, 90.00 90.00 90.00°
Fractional coordinates of all 5 atoms:
Hf 0.000 0.500 0.000
Hf 0.500 0.000 0.000
Nb 0.000 0.000 0.000
Hg 0.000 0.000 0.500
Te 0.500 0.500 0.500

Calculated powder diffractogram
Compound: Pm3Cu7Si4
Radiation: a wavelength of 1.5418 Å
Structure: the GGA-PBE geometry in Alexandria

Most intense lines, 2θ from 5° to 70°, by angle:
d = 3.768 Å, I = 31
d = 2.920 Å, I = 23
d = 2.462 Å, I = 53
d = 2.447 Å, I = 100
d = 2.269 Å, I = 20
d = 2.074 Å, I = 35

Structural model:
Cell: 7.905 7.905 9.077 Å, 124.59 124.59 30.42°
Fractional coordinates of all 14 atoms:
Pm 0.000 0.000 0.000
Pm 0.306 0.306 0.305
Pm 0.694 0.694 0.695
Cu 0.000 0.000 0.500
Cu 0.145 0.145 0.881
Cu 0.328 0.328 0.679
Cu 0.497 0.497 0.287
Cu 0.503 0.503 0.713
Cu 0.672 0.672 0.321
Cu 0.855 0.855 0.119
Si 0.120 0.120 0.404
Si 0.340 0.340 0.969
Si 0.660 0.660 0.031
Si 0.880 0.880 0.596

Calculated powder diffractogram
Compound: MgSc2Pt
Radiation: a wavelength of 1.5418 Å
Structure: the GGA-PBE geometry in Alexandria

Most intense lines, 2θ from 5° to 70°, by angle:
d = 4.217 Å, I = 74
d = 4.195 Å, I = 19
d = 3.578 Å, I = 31
d = 2.479 Å, I = 100
d = 2.439 Å, I = 25
d = 2.284 Å, I = 21

Structural model:
Cell: 5.240 5.240 5.240 Å, 135.65 124.52 73.63°
Fractional coordinates of all 4 atoms:
Mg 0.000 0.000 0.000
Sc 0.283 0.783 0.500
Sc 0.717 0.217 0.500
Pt 0.500 0.500 0.000